Zr4Tl3H2: theoretical PXRD pattern (Cu Kα), based on a DFT-relaxed cell (PBE, Alexandria).
Peak positions follow from Bragg's law for the DFT cell and can differ from measured ones.

Cell and atoms:
```
data_Zr4Tl3H2
_chemical_formula_sum 'Zr16 Tl12 H8'
_symmetry_space_group_name_H-M 'C 1 2/c 1'
_symmetry_Int_Tables_number 15
_symmetry_space_group_name_Hall '-C 2yc'
_cell_length_a 13.0376
_cell_length_b 9.0192
_cell_length_c 5.9825
_cell_angle_alpha 90.00
_cell_angle_beta 103.91
_cell_angle_gamma 90.00
loop_
_atom_site_label
_atom_site_type_symbol
_atom_site_fract_x
_atom_site_fract_y
_atom_site_fract_z
_atom_site_occupancy
Zr1 Zr 0.1230 0.2437 0.0551 1
Zr2 Zr 0.1960 0.4158 0.5827 1
Tl1 Tl 0.0000 0.4997 0.2500 1
Tl2 Tl 0.1017 0.1020 0.5635 1
H1 H 0.2314 0.3696 0.9344 1
```

Largest 12 diffraction maxima, most intense first, 5 to 70 degrees two-theta:
two_theta	d [Å]	I_rel	h k l
35.09	2.557	100	1 3 1
36.88	2.437	68	5 1 0
30.58	2.924	58	2 2 1
34.49	2.601	36	3 1 -2
37.84	2.378	36	3 3 -1
37.04	2.427	30	2 0 2
31.51	2.839	26	1 1 -2
36.63	2.453	21	4 0 -2
51.17	1.785	19	1 5 0
34.77	2.580	18	1 1 2
14.00	6.328	18	2 0 0
34.63	2.590	15	4 2 0